Entry 1:
# Li2CeAgO4
Simulated X-ray powder pattern, a wavelength of 1.5418 Å. Input: the GGA-PBE geometry in Alexandria.
Neutral-atom scattering factors, no anomalous dispersion.

Cell and atoms:
Cell: 5.443 5.443 6.720 Å, 90.00 90.00 90.00°
Sites, in units of the cell vectors:
Li: 0.000 0.500 0.250
Li: 0.000 0.500 0.750
Li: 0.500 0.000 0.250
Li: 0.500 0.000 0.750
Ce: 0.000 0.000 0.000
Ce: 0.500 0.500 0.500
Ag: 0.000 0.000 0.500
Ag: 0.500 0.500 0.000
O: 0.245 0.245 0.841
O: 0.245 0.755 0.159
O: 0.255 0.255 0.341
O: 0.255 0.745 0.659
O: 0.745 0.255 0.659
O: 0.745 0.745 0.341
O: 0.755 0.245 0.159
O: 0.755 0.755 0.841

Principal peaks in the range 15° ≤ 2θ ≤ 90°, in order of rising 2θ:
2θ/deg  Rel. int.
23.1  100.0
26.5  27.5
32.9  26.2
35.5  82.1
42.8  47.7
47.2  25.8
53.2  20.1
55.0  14.9
60.4  33.2
65.3  16.2

Entry 2:
# PmZnAsS
Simulated X-ray powder pattern, a wavelength of 1.5418 Å. Input: the GGA-PBE geometry in Alexandria.
Neutral-atom scattering factors, no anomalous dispersion.

Cell and atoms:
Cell: 11.537 11.537 11.537 Å, 21.92 21.92 21.92°
Sites, in units of the cell vectors:
Pm: 0.108 0.108 0.108
Pm: 0.892 0.892 0.892
Zn: 0.305 0.305 0.305
Zn: 0.695 0.695 0.695
As: 0.382 0.382 0.382
As: 0.618 0.618 0.618
S: 0.197 0.197 0.197
S: 0.803 0.803 0.803

Principal peaks in the range 15° ≤ 2θ ≤ 90°, in order of rising 2θ:
2θ/deg  Rel. int.
25.7  100.0
26.9  31.2
31.8  15.8
35.6  80.1
41.1  85.0
44.5  25.4
49.2  17.2
52.9  23.9
55.5  21.5
71.4  19.9

Entry 3:
# Ag7SbS6
Simulated X-ray powder pattern, a wavelength of 1.5418 Å. Input: the GGA-PBE geometry in Alexandria.
Neutral-atom scattering factors, no anomalous dispersion.

Cell and atoms:
Cell: 10.461 10.461 10.461 Å, 144.20 94.72 96.12°
Sites, in units of the cell vectors:
Ag: 0.017 0.231 0.248
Ag: 0.130 0.430 0.778
Ag: 0.152 0.930 0.300
Ag: 0.250 0.250 0.000
Ag: 0.348 0.648 0.778
Ag: 0.370 0.148 0.300
Ag: 0.483 0.731 0.213
Ag: 0.517 0.269 0.787
Ag: 0.630 0.852 0.700
Ag: 0.652 0.352 0.222
Ag: 0.750 0.750 0.000
Ag: 0.848 0.070 0.700
Ag: 0.870 0.570 0.222
Ag: 0.983 0.769 0.752
Sb: 0.250 0.750 0.500
Sb: 0.750 0.250 0.500
S: 0.050 0.883 0.619
S: 0.155 0.814 0.969
S: 0.236 0.617 0.167
S: 0.264 0.431 0.381
S: 0.345 0.314 0.659
S: 0.450 0.069 0.833
S: 0.550 0.931 0.167
S: 0.655 0.686 0.341
S: 0.736 0.569 0.619
S: 0.764 0.383 0.833
S: 0.845 0.186 0.031
S: 0.950 0.117 0.381

Principal peaks in the range 15° ≤ 2θ ≤ 90°, in order of rising 2θ:
2θ/deg  Rel. int.
25.1  49.6
28.5  100.0
30.6  35.5
33.2  49.0
37.8  21.9
40.0  15.8
40.2  20.4
46.4  31.0
48.2  23.1
49.6  18.4